Calculated powder diffraction line list
Compound: CaSiP2O8
Radiation: Cu Kα
Structure: a cell relaxed with GGA-PBE
Peak positions follow from Bragg's law for the DFT cell and can differ from measured ones.

Crystal structure
```
data_CaSiP2O8
_cell_length_a 4.7290
_cell_length_b 4.7290
_cell_length_c 6.9281
_cell_angle_alpha 90.00
_cell_angle_beta 90.00
_cell_angle_gamma 120.00
_symmetry_space_group_name_H-M 'P -3'
_symmetry_Int_Tables_number 147
_symmetry_space_group_name_Hall '-P 3'
loop_
_atom_site_label
_atom_site_type_symbol
_atom_site_fract_x
_atom_site_fract_y
_atom_site_fract_z
Ca1 Ca 0.0000 0.0000 0.0000
Si1 Si 0.0000 0.0000 0.5000
P1 P 0.3333 0.6667 0.7271
O1 O 0.0639 0.3257 0.6556
O2 O 0.3333 0.6667 0.9460
```

The 8 most intense peaks (10 to 80 degrees two-theta), in order of falling intensity:
2θ = 25.26°, d 3.526, I 100, hkl 0 1 1; 2θ = 33.89°, d 2.645, I 50, hkl 0 1 2; 2θ = 38.06°, d 2.364, I 38, hkl 1 1 0; 2θ = 40.30°, d 2.238, I 29, hkl 1 1 1; 2θ = 51.87°, d 1.763, I 22, hkl 0 2 2; 2θ = 66.97°, d 1.397, I 22, hkl 1 1 4; 2θ = 39.00°, d 2.309, I 18, hkl 0 0 3; 2θ = 46.50°, d 1.953, I 18, hkl 2 -1 2



Calculated powder diffraction line list
Compound: CaSnP2O8
Radiation: Cu Kα
Structure: a cell relaxed with GGA-PBE
Peak positions follow from Bragg's law for the DFT cell and can differ from measured ones.

Crystal structure
```
data_CaSnP2O8
_cell_length_a 4.9442
_cell_length_b 4.9442
_cell_length_c 7.2492
_cell_angle_alpha 90.00
_cell_angle_beta 90.00
_cell_angle_gamma 120.00
_symmetry_space_group_name_H-M 'P -3'
_symmetry_Int_Tables_number 147
_symmetry_space_group_name_Hall '-P 3'
loop_
_atom_site_label
_atom_site_type_symbol
_atom_site_fract_x
_atom_site_fract_y
_atom_site_fract_z
Ca1 Ca 0.0000 0.0000 0.0000
Sn1 Sn 0.0000 0.0000 0.5000
P1 P 0.3333 0.6667 0.7542
O1 O 0.0660 0.3448 0.6834
O2 O 0.3333 0.6667 0.9630
```

The 8 most intense peaks (10 to 80 degrees two-theta), in order of falling intensity:
2θ = 24.14°, d 3.687, I 100, hkl 0 1 1; 2θ = 32.36°, d 2.766, I 90, hkl 1 0 2; 2θ = 20.75°, d 4.282, I 63, hkl 1 0 0; 2θ = 36.34°, d 2.472, I 49, hkl 1 1 0; 2θ = 49.44°, d 1.843, I 34, hkl 0 2 2; 2θ = 44.36°, d 2.042, I 34, hkl 2 -1 2; 2θ = 12.21°, d 7.249, I 32, hkl 0 0 1; 2θ = 62.89°, d 1.478, I 27, hkl 2 1 2



Calculated powder diffraction line list
Compound: CaSn4P6O24
Radiation: Cu Kα
Structure: a cell relaxed with GGA-PBE
Peak positions follow from Bragg's law for the DFT cell and can differ from measured ones.

Crystal structure
```
data_CaSn4P6O24
_cell_length_a 8.5240
_cell_length_b 8.5240
_cell_length_c 22.9930
_cell_angle_alpha 90.00
_cell_angle_beta 90.00
_cell_angle_gamma 120.00
_symmetry_space_group_name_H-M 'R -3'
_symmetry_Int_Tables_number 148
_symmetry_space_group_name_Hall '-R 3'
loop_
_atom_site_label
_atom_site_type_symbol
_atom_site_fract_x
_atom_site_fract_y
_atom_site_fract_z
Ca1 Ca 0.0000 0.0000 0.0000
Sn1 Sn 0.0000 0.0000 0.1477
Sn2 Sn 0.0000 0.0000 0.3521
P1 P 0.0037 0.2913 0.7485
O1 O 0.0015 0.7967 0.1927
O2 O 0.0261 0.1924 0.0854
O3 O 0.0784 0.2234 0.4029
O4 O 0.0820 0.2283 0.6987
```

The 8 most intense peaks (10 to 80 degrees two-theta), in order of falling intensity:
2θ = 20.84°, d 4.262, I 100, hkl 1 1 0; 2θ = 31.39°, d 2.850, I 94, hkl 1 1 6; 2θ = 19.57°, d 4.535, I 89, hkl 1 0 4; 2θ = 28.74°, d 3.106, I 56, hkl 0 2 4; 2θ = 23.89°, d 3.725, I 52, hkl 2 -1 3; 2θ = 36.52°, d 2.461, I 39, hkl 3 0 0; 2θ = 14.26°, d 6.212, I 36, hkl 0 1 2; 2θ = 48.90°, d 1.862, I 30, hkl 2 2 6



Calculated powder diffraction line list
Compound: CaSn3P4O14
Radiation: Cu Kα
Structure: a cell relaxed with GGA-PBE
Peak positions follow from Bragg's law for the DFT cell and can differ from measured ones.

Crystal structure
```
data_CaSn3P4O14
_cell_length_a 8.612
_cell_length_b 7.519
_cell_length_c 10.464
_cell_angle_alpha 90.00
_cell_angle_beta 105.22
_cell_angle_gamma 90.00
_symmetry_space_group_name_H-M 'P 1 21/c 1'
_symmetry_Int_Tables_number 14
_symmetry_space_group_name_Hall '-P 2ybc'
loop_
_atom_site_label
_atom_site_type_symbol
_atom_site_fract_x
_atom_site_fract_y
_atom_site_fract_z
Ca1 Ca 0.000 0.000 0.000
Sn1 Sn 0.295 0.137 0.470
Sn2 Sn 0.500 0.000 0.000
P1 P 0.065 0.062 0.686
P2 P 0.315 0.708 0.174
O1 O 0.118 0.091 0.836
O2 O 0.118 0.544 0.864
O3 O 0.131 0.205 0.606
O4 O 0.133 0.629 0.155
O5 O 0.280 0.610 0.605
O6 O 0.399 0.579 0.098
O7 O 0.403 0.711 0.320
```

The 8 most intense peaks (10 to 80 degrees two-theta), in order of falling intensity:
2θ = 17.57°, d 5.049, I 100, hkl 0 0 2; 2θ = 28.41°, d 3.141, I 97, hkl 1 2 1; 2θ = 27.92°, d 3.195, I 86, hkl 2 1 1; 2θ = 31.79°, d 2.815, I 79, hkl 2 1 -3; 2θ = 25.81°, d 3.452, I 69, hkl 1 1 2; 2θ = 26.72°, d 3.337, I 67, hkl 2 1 -2; 2θ = 36.95°, d 2.433, I 57, hkl 0 3 1; 2θ = 24.03°, d 3.704, I 54, hkl 2 1 -1



Calculated powder diffraction line list
Compound: CaSn3P3O13
Radiation: Cu Kα
Structure: a cell relaxed with GGA-PBE
Peak positions follow from Bragg's law for the DFT cell and can differ from measured ones.

Crystal structure
```
data_CaSn3P3O13
_cell_length_a 7.735
_cell_length_b 6.862
_cell_length_c 11.135
_cell_angle_alpha 90.00
_cell_angle_beta 98.41
_cell_angle_gamma 90.00
_symmetry_space_group_name_H-M 'P 1 21/m 1'
_symmetry_Int_Tables_number 11
_symmetry_space_group_name_Hall '-P 2yb'
loop_
_atom_site_label
_atom_site_type_symbol
_atom_site_fract_x
_atom_site_fract_y
_atom_site_fract_z
Ca1 Ca 0.146 0.250 0.205
Sn1 Sn 0.177 0.250 0.756
Sn2 Sn 0.253 0.750 0.456
Sn3 Sn 0.500 0.000 0.000
P1 P 0.160 0.750 0.091
P2 P 0.269 0.750 0.756
P3 P 0.297 0.250 0.482
O1 O 0.022 0.750 0.981
O2 O 0.075 0.750 0.213
O3 O 0.147 0.569 0.759
O4 O 0.154 0.250 0.573
O5 O 0.261 0.075 0.395
O6 O 0.277 0.561 0.103
O7 O 0.367 0.250 0.903
O8 O 0.377 0.750 0.654
O9 O 0.407 0.750 0.879
O10 O 0.472 0.250 0.567
```

The 8 most intense peaks (10 to 80 degrees two-theta), in order of falling intensity:
2θ = 18.42°, d 4.817, I 100, hkl 1 0 -2; 2θ = 28.47°, d 3.135, I 99, hkl 1 0 3; 2θ = 35.14°, d 2.554, I 64, hkl 2 2 0; 2θ = 25.97°, d 3.431, I 52, hkl 0 2 0; 2θ = 30.14°, d 2.965, I 48, hkl 1 2 1; 2θ = 27.22°, d 3.276, I 46, hkl 0 2 1; 2θ = 25.74°, d 3.461, I 46, hkl 2 0 1; 2θ = 13.09°, d 6.765, I 45, hkl 1 0 -1



Calculated powder diffraction line list
Compound: SrCaSnP2O8
Radiation: Cu Kα
Structure: a cell relaxed with GGA-PBE
Peak positions follow from Bragg's law for the DFT cell and can differ from measured ones.

Crystal structure
```
data_SrCaSnP2O8
_cell_length_a 5.755
_cell_length_b 6.918
_cell_length_c 10.355
_cell_angle_alpha 108.39
_cell_angle_beta 99.65
_cell_angle_gamma 98.25
_symmetry_space_group_name_H-M 'P -1'
_symmetry_Int_Tables_number 2
_symmetry_space_group_name_Hall '-P 1'
loop_
_atom_site_label
_atom_site_type_symbol
_atom_site_fract_x
_atom_site_fract_y
_atom_site_fract_z
Sr1 Sr 0.228 0.212 0.458
Ca1 Ca 0.452 0.578 0.834
Sn1 Sn 0.163 0.830 0.091
P1 P 0.161 0.599 0.296
P2 P 0.282 0.028 0.778
O1 O 0.045 0.932 0.812
O2 O 0.079 0.455 0.662
O3 O 0.149 0.483 0.138
O4 O 0.222 0.835 0.312
O5 O 0.226 0.009 0.625
O6 O 0.375 0.259 0.883
O7 O 0.375 0.540 0.378
O8 O 0.482 0.903 0.808
```

The 8 most intense peaks (10 to 80 degrees two-theta), in order of falling intensity:
2θ = 27.56°, d 3.237, I 100, hkl 0 2 -2; 2θ = 28.13°, d 3.173, I 65, hkl 1 1 1; 2θ = 28.95°, d 3.084, I 42, hkl 1 0 -3; 2θ = 32.33°, d 2.769, I 40, hkl 2 -1 0; 2θ = 32.41°, d 2.762, I 34, hkl -1 2 1; 2θ = 27.38°, d 3.257, I 34, hkl -1 1 2; 2θ = 32.89°, d 2.723, I 33, hkl 1 -1 3; 2θ = 20.47°, d 4.339, I 31, hkl 1 -1 1



Calculated powder diffraction line list
Compound: CaTiSnP3O12
Radiation: Cu Kα
Structure: a cell relaxed with GGA-PBE
Peak positions follow from Bragg's law for the DFT cell and can differ from measured ones.

Crystal structure
```
data_CaTiSnP3O12
_cell_length_a 8.7890
_cell_length_b 8.7890
_cell_length_c 22.1367
_cell_angle_alpha 90.00
_cell_angle_beta 90.00
_cell_angle_gamma 120.00
_symmetry_space_group_name_H-M 'R 3 c'
_symmetry_Int_Tables_number 161
_symmetry_space_group_name_Hall 'R 3 -2"c'
loop_
_atom_site_label
_atom_site_type_symbol
_atom_site_fract_x
_atom_site_fract_y
_atom_site_fract_z
Ca1 Ca 0.0000 0.0000 0.0000
Ti1 Ti 0.0000 0.0000 0.3578
Sn1 Sn 0.0000 0.0000 0.1514
P1 P 0.0021 0.2939 0.2548
O1 O 0.0212 0.1904 0.9203
O2 O 0.0210 0.2119 0.1954
O3 O 0.1403 0.4700 0.9784
O4 O 0.1684 0.4826 0.2534
```

The 8 most intense peaks (10 to 80 degrees two-theta), in order of falling intensity:
2θ = 20.21°, d 4.395, I 100, hkl 1 1 0; 2θ = 31.67°, d 2.826, I 94, hkl 1 1 6; 2θ = 23.56°, d 3.776, I 87, hkl 1 1 3; 2θ = 19.84°, d 4.476, I 47, hkl 1 0 4; 2θ = 35.38°, d 2.537, I 44, hkl 3 0 0; 2θ = 14.12°, d 6.272, I 39, hkl 0 1 2; 2θ = 48.20°, d 1.888, I 35, hkl 2 2 6; 2θ = 28.46°, d 3.136, I 33, hkl 0 2 4